Calculated powder X-ray diffraction pattern of YNp2O11 for Cu Kα X-rays, from a DFT-relaxed cell (PBE, Alexandria).
Intensities are scaled so that the largest is 100.

Peak list (8 most intense, 10 to 80 degrees two-theta, sorted by position)
(hkl)  Position (°2θ)  Rel. int.
0 1 -1  15.21  45.0
0 1 1  16.67  100.0
1 1 -1  19.49  59.3
1 -2 0  22.39  98.5
0 0 2  22.64  75.5
2 0 0  24.38  71.0
1 2 0  28.76  56.4
-2 2 2  33.03  46.0

Atomic structure:
```
data_YNp2O11
_chemical_formula_sum 'Y2 Np4 O22'
_cell_length_a 7.9393
_cell_length_b 8.1988
_cell_length_c 8.2138
_cell_angle_alpha 90.47
_cell_angle_beta 106.18
_cell_angle_gamma 105.85
_space_group_name_H-M_alt 'P 1'
_space_group_IT_number 1
loop_
_space_group_symop_operation_xyz
'x,y,z'
loop_
_atom_site_label
_atom_site_type_symbol
_atom_site_fract_x
_atom_site_fract_y
_atom_site_fract_z
Y1 Y 0.0000 0.0000 0.0000
Y2 Y 0.4755 0.6503 0.3770
Np1 Np 0.4464 0.1434 0.3977
Np2 Np 0.4958 0.6423 0.8821
Np3 Np 0.9697 0.0049 0.4910
Np4 Np 0.9854 0.4951 0.0130
O1 O 0.0189 0.0434 0.7319
O2 O 0.0472 0.7362 0.0287
O3 O 0.1162 0.7897 0.5417
O4 O 0.1549 0.7395 0.7012
O5 O 0.1917 0.1659 0.4946
O6 O 0.1967 0.5108 0.1962
O7 O 0.2678 0.4910 0.8742
O8 O 0.2889 0.1235 0.1689
O9 O 0.3180 0.8395 0.8064
O10 O 0.4018 0.8994 0.3708
O11 O 0.4467 0.6064 0.6423
O12 O 0.5132 0.3873 0.3979
O13 O 0.5514 0.6676 0.1239
O14 O 0.5716 0.1515 0.6209
O15 O 0.7031 0.8310 0.8948
O16 O 0.7456 0.4891 0.8894
O17 O 0.7563 0.8300 0.4883
O18 O 0.7697 0.1927 0.3976
O19 O 0.7821 0.2569 0.2396
O20 O 0.8565 0.4246 0.2572
O21 O 0.9279 0.9607 0.2530
O22 O 0.9365 0.2561 0.9798
```

Calculated powder X-ray diffraction pattern of Y3NpO8 for Cu Kα X-rays, from a DFT-relaxed cell (PBE, Alexandria).
Intensities are scaled so that the largest is 100.

Peak list (8 most intense, 10 to 80 degrees two-theta, sorted by position)
(hkl)  Position (°2θ)  Rel. int.
1 0 0  16.62  23.8
1 1 0  23.58  18.6
1 1 1  28.99  100.0
2 0 0  33.59  27.4
2 1 0  37.70  10.1
2 2 0  48.24  55.4
3 1 1  57.27  43.8
3 3 1  78.07  17.7

Atomic structure:
```
data_Y3NpO8
_chemical_formula_sum 'Y3 Np1 O8'
_cell_length_a 5.3354
_cell_length_b 5.3354
_cell_length_c 5.3354
_cell_angle_alpha 90.00
_cell_angle_beta 90.00
_cell_angle_gamma 90.00
_space_group_name_H-M_alt 'P m -3 m'
_space_group_IT_number 221
_space_group_name_Hall '-P 4 2 3'
loop_
_atom_site_label
_atom_site_type_symbol
_atom_site_fract_x
_atom_site_fract_y
_atom_site_fract_z
Y1 Y 0.0000 0.0000 0.5000
Np1 Np 0.5000 0.5000 0.5000
O1 O 0.2625 0.2625 0.2625
```